The following is a simulated powder XRD pattern of Ba2MnV2HO9. It was derived from DFT lattice parameters and positions (GGA+U), using Cu Ka.
No peak broadening, texture or thermal motion is included.

```
data_Ba2MnV2HO9
_space_group_name_H-M_alt 'P 1 21/m 1'
_space_group_IT_number 11
_cell_length_a 7.981
_cell_length_b 6.349
_cell_length_c 9.149
_cell_angle_alpha 90.00
_cell_angle_beta 111.77
_cell_angle_gamma 90.00
loop_
_space_group_symop_operation_xyz
'x,y,z'
'-x,-y,-z'
'-x,y+1/2,-z'
'x,-y+1/2,z'
loop_
_atom_site_label
_atom_site_type_symbol
_atom_site_fract_x
_atom_site_fract_y
_atom_site_fract_z
_atom_site_occupancy
Ba1 Ba 0.176 0.250 0.090 1
Ba2 Ba 0.233 0.750 0.741 1
Mn1 Mn 0.500 0.000 0.500 1
V1 V 0.051 0.750 0.326 1
V2 V 0.451 0.750 0.169 1
H1 H 0.241 0.250 0.489 1
O1 O 0.007 0.031 0.796 1
O2 O 0.068 0.250 0.551 1
O3 O 0.231 0.750 0.047 1
O4 O 0.287 0.750 0.449 1
O5 O 0.337 0.250 0.440 1
O6 O 0.427 0.250 0.949 1
O7 O 0.495 0.513 0.285 1
```

Largest 10 diffraction maxima, in order of rising 2θ, 10 to 90 degrees two-theta:
index, two_theta, d_spacing, I/Imax
1 1 1, 23.31, 3.817, 19
2 1 -1, 26.43, 3.373, 100
0 2 0, 28.11, 3.174, 38
1 0 -3, 29.29, 3.049, 41
1 1 2, 31.24, 2.863, 62
2 2 0, 37.30, 2.411, 23
1 2 -3, 41.05, 2.199, 30
3 1 -4, 47.13, 1.928, 18
2 3 -1, 48.74, 1.868, 16
3 2 1, 51.03, 1.790, 26